Calculated powder XRD pattern of Al4SiC4 for Cu Kα, 1.54184 Å, from the PBE geometry in the Materials Project.
Peak positions follow from Bragg's law for the DFT cell and can differ from measured ones.

Principal peaks in the range 2θ from 10° to 90°, in order of rising 2θ:
d = 2.827 Å, 31.7 deg, rel. 95, (1 0 1); d = 2.387 Å, 37.7 deg, rel. 61, (1 0 5); d = 2.244 Å, 40.2 deg, rel. 79, (1 0 6); d = 2.184 Å, 41.3 deg, rel. 50, (0 0 10); d = 1.848 Å, 49.3 deg, rel. 34, (1 0 9); d = 1.646 Å, 55.9 deg, rel. 100, (1 1 0); d = 1.534 Å, 60.3 deg, rel. 33, (1 0 12); d = 1.314 Å, 71.8 deg, rel. 56, (1 1 10)

Crystal structure
Lattice parameters (Å, degrees): 3.2920 3.2920 21.8366 90.00 90.00 120.00
Space group P6_3mc (No. 186)
One atom of each set of equivalent atoms:
Al  0.0000  0.0000  0.0000 x2
Al  0.3333  0.6667  0.1042 x2
Al  0.3333  0.6667  0.6963 x2
Al  0.3333  0.6667  0.9147 x2
Si  0.0000  0.0000  0.3138 x2
C  0.0000  0.0000  0.1508 x2
C  0.0000  0.0000  0.3996 x2
C  0.3333  0.6667  0.0161 x2
C  0.3333  0.6667  0.7866 x2

---

Calculated powder XRD pattern of BaReH9 for Cu Kα, 1.54184 Å, from the PBE geometry in the Materials Project.
Peak positions follow from Bragg's law for the DFT cell and can differ from measured ones.

Principal peaks in the range 2θ from 10° to 90°, in order of rising 2θ:
d = 4.231 Å, 21.0 deg, rel. 51, (0 2 0); d = 3.888 Å, 22.9 deg, rel. 32, (0 2 1); d = 3.385 Å, 26.3 deg, rel. 100, (1 1 2); d = 2.814 Å, 31.8 deg, rel. 21, (2 0 0); d = 2.525 Å, 35.6 deg, rel. 16, (1 3 0); d = 2.445 Å, 36.8 deg, rel. 28, (0 0 4); d = 2.280 Å, 39.5 deg, rel. 15, (2 2 1); d = 1.600 Å, 57.6 deg, rel. 16, (2 4 2)

Crystal structure
Lattice parameters (Å, degrees): 5.6287 8.4744 9.7818 90.00 90.00 90.00
Space group Cmcm (No. 63)
One atom of each set of equivalent atoms:
Ba  0.0000  0.0000  0.0000 x4
Re  0.0000  0.3867  0.2500 x4
H  0.0000  0.1884  0.2500 x4
H  0.0000  0.4655  0.6301 x8
H  0.1832  0.3146  0.1245 x16
H  0.2472  0.0076  0.7500 x8

---

Calculated powder XRD pattern of NaSn2P3O12 for Cu Kα, 1.54184 Å, from the PBE geometry in the Materials Project.
Peak positions follow from Bragg's law for the DFT cell and can differ from measured ones.

Principal peaks in the range 2θ from 10° to 90°, in order of rising 2θ:
d = 4.524 Å, 19.6 deg, rel. 80, (1 0 4); d = 4.378 Å, 20.3 deg, rel. 100, (1 1 0); d = 3.783 Å, 23.5 deg, rel. 53, (1 1 3); d = 3.146 Å, 28.4 deg, rel. 48, (0 2 4); d = 2.851 Å, 31.4 deg, rel. 78, (1 1 6); d = 2.527 Å, 35.5 deg, rel. 40, (3 0 0); d = 1.891 Å, 48.1 deg, rel. 27, (2 2 6); d = 1.655 Å, 55.5 deg, rel. 27, (4 1 0)

Crystal structure
Lattice parameters (Å, degrees): 8.7552 8.7552 22.5506 90.00 90.00 120.00
Space group R-3c (No. 167, hexagonal axes)
One atom of each set of equivalent atoms:
Na  0.0000  0.0000  0.0000 x6
Sn  0.0000  0.0000  0.1458 x12
P  0.0000  0.2928  0.2500 x18
O  0.0196  0.2071  0.1931 x36
O  0.0218  0.1884  0.9144 x36

---

Calculated powder XRD pattern of Dy2ZnCuSi2 for Cu Kα, 1.54184 Å, from the PBE geometry in the Materials Project.
Peak positions follow from Bragg's law for the DFT cell and can differ from measured ones.

Principal peaks in the range 2θ from 10° to 90°, in order of rising 2θ:
d = 3.529 Å, 25.2 deg, rel. 31, (0 0 2); d = 2.650 Å, 33.8 deg, rel. 100, (1 1 1); d = 2.037 Å, 44.5 deg, rel. 34, (2 0 0); d = 2.007 Å, 45.2 deg, rel. 11, (0 2 0); d = 1.615 Å, 57.0 deg, rel. 22, (0 1 4); d = 1.430 Å, 65.3 deg, rel. 21, (2 2 0); d = 1.266 Å, 75.0 deg, rel. 16, (3 1 1); d = 1.251 Å, 76.1 deg, rel. 9, (1 3 1)

Crystal structure
Lattice parameters (Å, degrees): 4.0746 4.0148 7.0570 90.00 90.08 90.00
Space group Pm (No. 6)
One atom of each set of equivalent atoms:
Dy  0.0000  0.0000  0.0000 x1
Dy  0.4999  0.0000  0.4932 x1
Zn  0.5002  0.5000  0.8317 x1
Cu  0.0002  0.5000  0.3289 x1
Si  0.9998  0.5000  0.6564 x1
Si  0.4998  0.5000  0.1694 x1

---

Calculated powder XRD pattern of Pm2TlAg for Cu Kα, 1.54184 Å, from the PBE geometry in the Materials Project.
Peak positions follow from Bragg's law for the DFT cell and can differ from measured ones.

Principal peaks in the range 2θ from 10° to 90°, in order of rising 2θ:
d = 4.417 Å, 20.1 deg, rel. 4, (1 1 1); d = 2.705 Å, 33.1 deg, rel. 100, (2 2 0); d = 2.307 Å, 39.1 deg, rel. 3, (3 1 1); d = 1.913 Å, 47.5 deg, rel. 18, (4 0 0); d = 1.562 Å, 59.2 deg, rel. 38, (4 2 2); d = 1.352 Å, 69.5 deg, rel. 12, (4 4 0); d = 1.210 Å, 79.2 deg, rel. 16, (6 2 0); d = 1.104 Å, 88.6 deg, rel. 4, (4 4 4)

Crystal structure
Lattice parameters (Å, degrees): 7.6501 7.6501 7.6501 90.00 90.00 90.00
Space group Fm-3m (No. 225)
One atom of each set of equivalent atoms:
Pm  0.2500  0.2500  0.2500 x8
Tl  0.0000  0.0000  0.0000 x4
Ag  0.0000  0.0000  0.5000 x4

---

Calculated powder XRD pattern of Ga2NiN3 for Cu Kα, 1.54184 Å, from the PBE geometry in the Materials Project.
Peak positions follow from Bragg's law for the DFT cell and can differ from measured ones.

Principal peaks in the range 2θ from 10° to 90°, in order of rising 2θ:
d = 2.758 Å, 32.5 deg, rel. 55, (3 1 0); d = 2.588 Å, 34.7 deg, rel. 57, (0 0 2); d = 2.440 Å, 36.8 deg, rel. 62, (0 2 1); d = 2.434 Å, 36.9 deg, rel. 100, (3 1 1); d = 1.888 Å, 48.2 deg, rel. 33, (3 1 2); d = 1.596 Å, 57.8 deg, rel. 31, (3 3 0); d = 1.463 Å, 63.6 deg, rel. 49, (0 2 3); d = 1.358 Å, 69.2 deg, rel. 26, (3 3 2)

Crystal structure
Lattice parameters (Å, degrees): 9.5411 5.5348 5.1751 90.00 90.00 90.00
Space group Cmc2_1 (No. 36)
One atom of each set of equivalent atoms:
Ga  0.1674  0.1627  0.0000 x8
Ni  0.0000  0.3541  0.5030 x4
N  0.0000  0.3307  0.8604 x4
N  0.1644  0.1704  0.3774 x8

---

Please write out number 3 again, unchanged.
Calculated powder XRD pattern of NaSn2P3O12 for Cu Kα, 1.54184 Å, from the PBE geometry in the Materials Project.
Peak positions follow from Bragg's law for the DFT cell and can differ from measured ones.

Principal peaks in the range 2θ from 10° to 90°, in order of rising 2θ:
d = 4.524 Å, 19.6 deg, rel. 80, (1 0 4); d = 4.378 Å, 20.3 deg, rel. 100, (1 1 0); d = 3.783 Å, 23.5 deg, rel. 53, (1 1 3); d = 3.146 Å, 28.4 deg, rel. 48, (0 2 4); d = 2.851 Å, 31.4 deg, rel. 78, (1 1 6); d = 2.527 Å, 35.5 deg, rel. 40, (3 0 0); d = 1.891 Å, 48.1 deg, rel. 27, (2 2 6); d = 1.655 Å, 55.5 deg, rel. 27, (4 1 0)

Crystal structure
Lattice parameters (Å, degrees): 8.7552 8.7552 22.5506 90.00 90.00 120.00
Space group R-3c (No. 167, hexagonal axes)
One atom of each set of equivalent atoms:
Na  0.0000  0.0000  0.0000 x6
Sn  0.0000  0.0000  0.1458 x12
P  0.0000  0.2928  0.2500 x18
O  0.0196  0.2071  0.1931 x36
O  0.0218  0.1884  0.9144 x36